CaTiO2: theoretical PXRD pattern (Cu Kα), based on a DFT-relaxed cell (GGA-PBE, the Materials Project).
Kinematic intensities with the Lorentz-polarization factor, no thermal factor.

Atomic structure:
```
16
Lattice="2.9872 0.0000 0.0000 -1.4928 8.3044 0.0000 -1.4517 -0.4082 8.9144" Properties=species:S:1:pos:R:3 pbc="T T T"
Ca -0.7244 3.5559 2.3431
Ca -0.7260 1.5843 8.2764
Ca 0.7687 6.3120 0.6381
Ca 0.7672 4.3404 6.5713
Ti -2.2201 7.3239 6.3934
Ti -0.7264 6.5355 3.6799
Ti 0.7692 1.3608 5.2345
Ti 2.2629 0.5723 2.5211
O -0.7255 1.8696 3.9569
O -0.7264 2.6285 6.2679
O -0.7267 7.5796 1.7988
O 0.7716 1.8371 1.6476
O -0.7288 6.0591 7.2668
O 0.7695 0.3166 7.1156
O 0.7692 5.2678 2.6466
O 0.7683 6.0266 4.9575
```

Top 8 peaks for 2θ = 15–90°, sorted by position:
- d = 4.457 Å, 19.92 deg, rel. 56
- d = 3.108 Å, 28.72 deg, rel. 56
- d = 2.970 Å, 30.09 deg, rel. 44
- d = 2.839 Å, 31.51 deg, rel. 41
- d = 2.760 Å, 32.44 deg, rel. 43
- d = 2.648 Å, 33.85 deg, rel. 41
- d = 2.638 Å, 33.98 deg, rel. 46
- d = 2.195 Å, 41.13 deg, rel. 100


CaTi2O4: theoretical PXRD pattern (Cu Kα), based on a DFT-relaxed cell (GGA-PBE, the Materials Project).
Kinematic intensities with the Lorentz-polarization factor, no thermal factor.

Atomic structure:
```
14
Lattice="1.5388 -4.9122 0.0000 1.5388 4.9122 0.0000 0.0000 0.0000 10.1478" Properties=species:S:1:pos:R:3 pbc="T T T"
Ca 1.5388 3.7316 7.6108
Ca 1.5388 -3.7316 2.5369
Ti 1.5388 1.2194 5.7299
Ti 1.5388 1.2194 9.4917
Ti 1.5388 -1.2194 0.6560
Ti 1.5388 -1.2194 4.4178
O 0.0000 0.0000 0.0000
O 0.0000 0.0000 5.0739
O 1.5388 2.2889 1.0809
O 1.5388 2.2889 3.9929
O 1.5388 0.6063 7.6108
O 1.5388 -0.6063 2.5369
O 1.5388 -2.2889 6.1548
O 1.5388 -2.2889 9.0668
```

Top 8 peaks for 2θ = 15–90°, sorted by position:
- d = 2.821 Å, 31.72 deg, rel. 27
- d = 2.786 Å, 32.13 deg, rel. 100
- d = 2.541 Å, 35.32 deg, rel. 30
- d = 2.456 Å, 36.59 deg, rel. 22
- d = 2.190 Å, 41.22 deg, rel. 65
- d = 2.051 Å, 44.15 deg, rel. 57
- d = 1.670 Å, 55.00 deg, rel. 30
- d = 1.474 Å, 63.08 deg, rel. 24


CaTi5O7: theoretical PXRD pattern (Cu Kα), based on a DFT-relaxed cell (GGA-PBE, the Materials Project).
Kinematic intensities with the Lorentz-polarization factor, no thermal factor.

Atomic structure:
```
26
Lattice="1.5183 -4.9743 0.0000 1.5183 4.9743 0.0000 0.0000 0.0000 17.8222" Properties=species:S:1:pos:R:3 pbc="T T T"
Ca 1.5183 2.9050 13.3667
Ca 1.5183 -2.9050 4.4556
Ti 0.0000 0.0000 0.0000
Ti 0.0000 0.0000 8.9111
Ti 1.5183 2.1435 1.2304
Ti 1.5183 2.1435 7.6807
Ti 1.5183 0.3574 11.5078
Ti 1.5183 0.3574 15.2255
Ti 1.5183 -0.3574 2.5967
Ti 1.5183 -0.3574 6.3144
Ti 1.5183 -2.1435 10.1415
Ti 1.5183 -2.1435 16.5918
O 1.5183 4.0135 10.9431
O 1.5183 4.0135 15.7902
O 1.5183 3.2268 3.0019
O 1.5183 3.2268 5.9093
O 1.5183 1.3640 9.6805
O 1.5183 1.3640 17.0529
O 1.5183 0.2829 4.4556
O 1.5183 -0.2829 13.3667
O 1.5183 -1.3640 0.7694
O 1.5183 -1.3640 8.1417
O 1.5183 -3.2268 11.9130
O 1.5183 -3.2268 14.8204
O 1.5183 -4.0135 2.0320
O 1.5183 -4.0135 6.8791
```

Top 8 peaks for 2θ = 15–90°, sorted by position:
- d = 2.899 Å, 30.84 deg, rel. 29
- d = 2.609 Å, 34.37 deg, rel. 35
- d = 2.550 Å, 35.19 deg, rel. 74
- d = 2.433 Å, 36.94 deg, rel. 28
- d = 2.172 Å, 41.58 deg, rel. 100
- d = 2.096 Å, 43.17 deg, rel. 74
- d = 2.033 Å, 44.56 deg, rel. 34
- d = 1.519 Å, 61.01 deg, rel. 54


CaTiO2: theoretical PXRD pattern (Cu Kα), based on a DFT-relaxed cell (GGA-PBE, the Materials Project).
Kinematic intensities with the Lorentz-polarization factor, no thermal factor.

Atomic structure:
```
16
Lattice="9.1541 -1.4773 0.0000 9.1541 1.4773 0.0000 -7.4250 0.0000 9.1248" Properties=species:S:1:pos:R:3 pbc="T T T"
Ca -0.8016 0.0000 2.5033
Ca -0.2459 0.0000 8.5252
Ca 11.1290 0.0000 0.5996
Ca 11.6847 0.0000 6.6214
Ti -0.8033 0.0000 5.6165
Ti 5.0491 0.0000 1.3673
Ti 5.8340 0.0000 7.7575
Ti 11.6864 0.0000 3.5083
O -4.7828 0.0000 7.9028
O -2.2697 0.0000 6.6893
O 1.5822 0.0000 2.3910
O 2.5181 0.0000 4.9160
O 8.3650 0.0000 4.2088
O 9.3009 0.0000 6.7338
O 13.1528 0.0000 2.4355
O 15.6659 0.0000 1.2220
```

Top 8 peaks for 2θ = 15–90°, sorted by position:
- d = 2.998 Å, 29.80 deg, rel. 100
- d = 2.770 Å, 32.32 deg, rel. 73
- d = 2.731 Å, 32.79 deg, rel. 54
- d = 2.655 Å, 33.76 deg, rel. 74
- d = 2.360 Å, 38.14 deg, rel. 48
- d = 2.312 Å, 38.95 deg, rel. 62
- d = 1.840 Å, 49.53 deg, rel. 56
- d = 1.672 Å, 54.90 deg, rel. 84


CaTi2O5: theoretical PXRD pattern (Cu Kα), based on a DFT-relaxed cell (GGA-PBE, the Materials Project).
Kinematic intensities with the Lorentz-polarization factor, no thermal factor.

Atomic structure:
```
16
Lattice="1.9077 -5.5502 0.0000 1.9077 5.5502 0.0000 0.0000 0.0000 11.5055" Properties=species:S:1:pos:R:3 pbc="T T T"
Ca 1.9077 4.4570 8.6292
Ca 1.9077 -4.4570 2.8764
Ti 1.9077 3.2759 1.1146
Ti 1.9077 3.2759 4.6382
Ti 1.9077 -3.2759 6.8674
Ti 1.9077 -3.2759 10.3909
O 1.9077 4.9465 1.3902
O 1.9077 4.9465 4.3625
O 1.9077 2.8743 6.6239
O 1.9077 2.8743 10.6344
O 1.9077 2.3813 2.8764
O 1.9077 -2.3813 8.6292
O 1.9077 -2.8743 0.8712
O 1.9077 -2.8743 4.8816
O 1.9077 -4.9465 7.1430
O 1.9077 -4.9465 10.1153
```

Top 8 peaks for 2θ = 15–90°, sorted by position:
- d = 5.550 Å, 15.97 deg, rel. 100
- d = 3.994 Å, 22.26 deg, rel. 22
- d = 3.608 Å, 24.67 deg, rel. 71
- d = 3.155 Å, 28.28 deg, rel. 70
- d = 2.628 Å, 34.12 deg, rel. 35
- d = 1.918 Å, 47.41 deg, rel. 21
- d = 1.908 Å, 47.67 deg, rel. 28
- d = 1.596 Å, 57.76 deg, rel. 20


Ca2Ti3O8: theoretical PXRD pattern (Cu Kα), based on a DFT-relaxed cell (GGA-PBE, the Materials Project).
Kinematic intensities with the Lorentz-polarization factor, no thermal factor.

Atomic structure:
```
26
Lattice="6.0928 0.0000 0.0000 -3.0464 5.2765 0.0000 0.0000 0.0000 10.6194" Properties=species:S:1:pos:R:3 pbc="T T T"
Ca 0.0000 3.5177 0.0000
Ca 0.0000 3.5177 4.2923
Ca 3.0464 1.7588 5.3097
Ca 3.0464 1.7588 9.6020
Ti 0.0000 1.7228 7.6602
Ti -1.5544 4.4151 7.6602
Ti 1.4920 0.8614 2.3504
Ti 1.5544 4.4151 7.6602
Ti 4.6008 0.8614 2.3504
Ti 3.0464 3.5537 2.3504
O 0.0000 0.0000 3.3933
O 0.0000 0.0000 8.7030
O -1.3117 2.7604 8.7695
O 0.0000 1.6534 1.4036
O -1.6145 4.4498 1.4036
O 1.4319 0.8267 6.7133
O 0.0000 3.5177 6.5839
O 1.3117 2.7604 8.7695
O 0.0000 5.0323 8.7695
O 3.0464 0.2442 3.4598
O 1.7347 2.5161 3.4598
O 3.0464 1.7588 1.2742
O 1.6145 4.4498 1.4036
O 4.6609 0.8267 6.7133
O 3.0464 3.6231 6.7133
O 4.3581 2.5161 3.4598
```

Top 8 peaks for 2θ = 15–90°, sorted by position:
- d = 5.310 Å, 16.70 deg, rel. 96
- d = 3.743 Å, 23.77 deg, rel. 68
- d = 2.940 Å, 30.41 deg, rel. 60
- d = 2.642 Å, 33.94 deg, rel. 100
- d = 2.560 Å, 35.05 deg, rel. 54
- d = 1.737 Å, 52.68 deg, rel. 35
- d = 1.654 Å, 55.55 deg, rel. 68
- d = 1.523 Å, 60.81 deg, rel. 50


Ca2Ti9O13: theoretical PXRD pattern (Cu Kα), based on a DFT-relaxed cell (GGA-PBE, the Materials Project).
Kinematic intensities with the Lorentz-polarization factor, no thermal factor.

Atomic structure:
```
24
Lattice="4.9748 -1.5242 0.0000 4.9748 1.5242 0.0000 -2.6751 0.0000 16.5020" Properties=species:S:1:pos:R:3 pbc="T T T"
Ca 1.5240 0.0000 3.7720
Ca 5.7505 0.0000 12.7299
Ti -1.6664 0.0000 10.8802
Ti -1.6708 0.0000 14.6072
Ti 0.8385 0.0000 9.4646
Ti 0.8310 0.0000 15.9168
Ti 3.6373 0.0000 8.2510
Ti 6.4436 0.0000 0.5852
Ti 6.4360 0.0000 7.0373
Ti 8.9453 0.0000 1.8947
Ti 8.9409 0.0000 5.6217
O 0.0000 0.0000 0.0000
O -1.0121 0.0000 12.7023
O -0.0082 0.0000 7.4692
O 2.6061 0.0000 1.4367
O 2.6576 0.0000 6.2356
O 1.9172 0.0000 11.2506
O 1.9453 0.0000 14.1684
O 5.3293 0.0000 2.3336
O 5.3574 0.0000 5.2514
O 4.6169 0.0000 10.2663
O 4.6684 0.0000 15.0653
O 7.2828 0.0000 9.0328
O 8.2866 0.0000 3.7997
```

Top 8 peaks for 2θ = 15–90°, sorted by position:
- d = 2.582 Å, 34.74 deg, rel. 73
- d = 2.556 Å, 35.10 deg, rel. 63
- d = 2.487 Å, 36.11 deg, rel. 39
- d = 2.180 Å, 41.43 deg, rel. 65
- d = 2.151 Å, 42.01 deg, rel. 100
- d = 2.097 Å, 43.14 deg, rel. 53
- d = 2.059 Å, 43.98 deg, rel. 50
- d = 1.525 Å, 60.74 deg, rel. 70


CaTi2O4: theoretical PXRD pattern (Cu Kα), based on a DFT-relaxed cell (GGA-PBE, the Materials Project).
Kinematic intensities with the Lorentz-polarization factor, no thermal factor.

Atomic structure:
```
56
Lattice="5.5949 -3.0751 0.0000 5.5949 3.0751 0.0000 -4.2755 0.0000 20.2539" Properties=species:S:1:pos:R:3 pbc="T T T"
Ca 0.0000 0.0000 0.0000
Ca -2.1196 0.0000 11.9905
Ca -0.4226 0.0000 15.2087
Ca 3.4517 0.0000 10.1265
Ca 5.4066 0.0000 7.6080
Ca 7.3415 0.0000 5.0541
Ca 5.1832 0.0000 17.1630
Ca 9.2145 0.0000 2.4416
Ti 0.7185 1.5356 10.1810
Ti -1.5016 1.3643 20.1187
Ti -2.2793 0.0000 17.7680
Ti 1.8378 0.0000 3.2045
Ti 4.5444 1.5664 5.0449
Ti 2.4186 1.5125 15.1700
Ti 1.6566 0.0000 6.9197
Ti 1.6215 0.0000 12.7738
Ti -1.5016 -1.3643 20.1187
Ti 1.4909 0.0000 18.3071
Ti 0.7185 -1.5356 10.1810
Ti 5.5024 0.0000 1.8557
Ti 5.3559 0.0000 13.2726
Ti 2.4186 -1.5125 15.1700
Ti 4.5444 -1.5664 5.0449
Ti 9.1886 0.0000 8.2693
O -2.4227 0.0000 14.1585
O -0.0145 0.0000 3.8400
O 0.6825 1.5414 13.8850
O 2.8198 1.4388 3.8590
O 2.2414 1.3726 11.4150
O 1.9675 0.0000 1.2489
O 4.5474 1.4079 1.1586
O 0.0228 0.0000 11.3483
O 1.5256 0.0000 8.8450
O 4.5716 1.6578 8.9960
O 2.3844 1.5522 18.9020
O -0.3884 0.0000 18.8348
O 3.9457 1.6603 16.4564
O 6.2811 1.6352 6.2580
O 3.4904 0.0000 6.2784
O 1.5358 0.0000 16.4281
O 5.3912 0.0000 3.7855
O 2.8198 -1.4388 3.8590
O 0.6825 -1.5414 13.8850
O 3.4978 0.0000 13.8715
O 2.2414 -1.3726 11.4150
O 4.5474 -1.4079 1.1586
O 7.2608 0.0000 1.1916
O 5.4171 0.0000 11.3779
O 4.8498 0.0000 19.3490
O 2.3844 -1.5522 18.9020
O 7.3567 0.0000 9.0082
O 4.5716 -1.6578 8.9960
O 3.9457 -1.6603 16.4564
O 6.2811 -1.6352 6.2580
O 9.3021 0.0000 6.3288
O 7.2790 0.0000 16.3630
```

Top 8 peaks for 2θ = 15–90°, sorted by position:
- d = 3.186 Å, 28.01 deg, rel. 49
- d = 2.727 Å, 32.85 deg, rel. 47
- d = 2.670 Å, 33.56 deg, rel. 46
- d = 2.660 Å, 33.69 deg, rel. 100
- d = 2.628 Å, 34.11 deg, rel. 49
- d = 2.211 Å, 40.81 deg, rel. 51
- d = 1.594 Å, 57.84 deg, rel. 50
- d = 1.543 Å, 59.96 deg, rel. 45